No. 1
Simulated powder diffractogram
Compound: AcPrDy2Hg4
Radiation: Cu Kα X-rays
Structure: a cell relaxed with PBE
Neutral-atom scattering factors, no anomalous dispersion.

Peak list (10 most intense, 5° ≤ 2θ ≤ 70°, in order of rising 2θ)
2θ (°)  I_rel
23.1  1
25.2  2
32.8  100
33.0  100
47.2  37
58.3  19
58.8  38
59.0  19
68.7  12
69.3  12

Structural model:
Cell: 9.493 9.493 9.493 Å, 33.21 33.21 33.21°
Positions (direct):
Ac (0.000, 0.000, 0.000)
Pr (0.500, 0.500, 0.500)
Dy (0.247, 0.247, 0.247)
Dy (0.753, 0.753, 0.753)
Hg (0.127, 0.127, 0.127)
Hg (0.379, 0.379, 0.379)
Hg (0.621, 0.621, 0.621)
Hg (0.873, 0.873, 0.873)

---

No. 2
Simulated powder diffractogram
Compound: Ac2Dy2TmHg5
Radiation: Cu Kα X-rays
Structure: a cell relaxed with PBE
Neutral-atom scattering factors, no anomalous dispersion.

Peak list (10 most intense, 5° ≤ 2θ ≤ 70°, in order of rising 2θ)
2θ (°)  I_rel
30.2  36
31.1  12
32.5  100
32.8  12
34.9  27
41.9  7
46.1  15
52.8  12
56.1  13
60.0  14

Structural model:
Cell: 12.202 12.202 3.942 Å, 90.00 90.00 90.00°
Positions (direct):
Ac (0.172, 0.328, 0.000)
Ac (0.328, 0.828, 0.000)
Ac (0.672, 0.172, 0.000)
Ac (0.828, 0.672, 0.000)
Dy (0.131, 0.631, 0.000)
Dy (0.369, 0.131, 0.000)
Dy (0.631, 0.869, 0.000)
Dy (0.869, 0.369, 0.000)
Tm (0.000, 0.000, 0.000)
Tm (0.500, 0.500, 0.000)
Hg (0.000, 0.500, 0.500)
Hg (0.080, 0.822, 0.500)
Hg (0.178, 0.080, 0.500)
Hg (0.322, 0.580, 0.500)
Hg (0.420, 0.322, 0.500)
Hg (0.500, 0.000, 0.500)
Hg (0.580, 0.678, 0.500)
Hg (0.678, 0.420, 0.500)
Hg (0.822, 0.920, 0.500)
Hg (0.920, 0.178, 0.500)

---

No. 3
Simulated powder diffractogram
Compound: AcDyHo3
Radiation: Cu Kα X-rays
Structure: a cell relaxed with PBE
Neutral-atom scattering factors, no anomalous dispersion.

Peak list (10 most intense, 5° ≤ 2θ ≤ 70°, in order of rising 2θ)
2θ (°)  I_rel
30.3  100
30.6  82
32.5  26
33.1  42
33.9  15
39.9  25
47.1  19
52.8  23
57.4  17
61.1  28

Structural model:
Cell: 9.209 9.209 7.077 Å, 90.00 90.00 145.85°
Positions (direct):
Ac (0.198, 0.802, 0.500)
Ac (0.802, 0.198, 0.000)
Dy (0.400, 0.600, 0.744)
Dy (0.600, 0.400, 0.244)
Ho (0.000, 0.000, 0.499)
Ho (0.000, 0.000, 0.999)
Ho (0.188, 0.812, 0.000)
Ho (0.400, 0.600, 0.256)
Ho (0.600, 0.400, 0.756)
Ho (0.812, 0.188, 0.500)

---

No. 4
Simulated powder diffractogram
Compound: AcDy14Ho
Radiation: Cu Kα X-rays
Structure: a cell relaxed with PBE
Neutral-atom scattering factors, no anomalous dispersion.

Peak list (10 most intense, 5° ≤ 2θ ≤ 70°, in order of rising 2θ)
2θ (°)  I_rel
28.3  24
31.5  24
32.5  100
42.9  16
50.2  20
56.8  21
58.6  3
60.4  23
61.0  17
68.1  4

Structural model:
Cell: 11.353 7.276 7.276 Å, 59.99 90.00 90.00°
Positions (direct):
Ac (0.000, 0.000, 0.000)
Dy (0.000, 0.502, 0.998)
Dy (0.000, 0.998, 0.502)
Dy (0.250, 0.333, 0.333)
Dy (0.254, 0.336, 0.832)
Dy (0.254, 0.832, 0.336)
Dy (0.255, 0.832, 0.832)
Dy (0.500, 0.000, 0.000)
Dy (0.500, 0.000, 0.500)
Dy (0.500, 0.500, 0.000)
Dy (0.500, 0.500, 0.500)
Dy (0.745, 0.832, 0.832)
Dy (0.746, 0.336, 0.832)
Dy (0.746, 0.832, 0.336)
Dy (0.750, 0.333, 0.333)
Ho (0.000, 0.501, 0.501)

---

No. 5
Simulated powder diffractogram
Compound: AcDyHo5
Radiation: Cu Kα X-rays
Structure: a cell relaxed with PBE
Neutral-atom scattering factors, no anomalous dispersion.

Peak list (10 most intense, 5° ≤ 2θ ≤ 70°, in order of rising 2θ)
2θ (°)  I_rel
26.2  10
30.2  32
30.5  100
32.1  19
33.2  14
35.3  11
36.4  8
40.9  10
53.8  8
56.4  8

Structural model:
Cell: 6.804 6.804 12.421 Å, 106.71 106.71 59.61°
Positions (direct):
Ac (0.000, 0.500, 0.000)
Ac (0.500, 0.000, 0.500)
Dy (0.031, 0.969, 0.750)
Dy (0.969, 0.031, 0.250)
Ho (0.129, 0.420, 0.738)
Ho (0.205, 0.661, 0.504)
Ho (0.339, 0.795, 0.996)
Ho (0.420, 0.129, 0.238)
Ho (0.420, 0.580, 0.250)
Ho (0.580, 0.420, 0.750)
Ho (0.580, 0.871, 0.762)
Ho (0.661, 0.205, 0.004)
Ho (0.795, 0.339, 0.496)
Ho (0.871, 0.580, 0.262)

---

No. 6
Simulated powder diffractogram
Compound: AcDy3Ho7
Radiation: Cu Kα X-rays
Structure: a cell relaxed with PBE
Neutral-atom scattering factors, no anomalous dispersion.

Peak list (10 most intense, 5° ≤ 2θ ≤ 70°, in order of rising 2θ)
2θ (°)  I_rel
10.2  4
14.5  5
17.7  4
27.2  2
31.0  100
35.9  51
51.7  36
61.5  43
64.5  9
64.6  3

Structural model:
Cell: 7.077 7.077 8.653 Å, 90.00 90.00 120.00°
Positions (direct):
Ac (0.000, 0.000, 0.000)
Dy (0.168, 0.337, 0.659)
Dy (0.168, 0.832, 0.659)
Dy (0.663, 0.832, 0.659)
Ho (0.003, 0.501, 0.000)
Ho (0.333, 0.167, 0.333)
Ho (0.333, 0.667, 0.329)
Ho (0.499, 0.501, 0.000)
Ho (0.499, 0.997, 0.000)
Ho (0.833, 0.167, 0.333)
Ho (0.833, 0.667, 0.333)

---

No. 7
Simulated powder diffractogram
Compound: Ac2Dy4Ho7
Radiation: Cu Kα X-rays
Structure: a cell relaxed with PBE
Neutral-atom scattering factors, no anomalous dispersion.

Peak list (10 most intense, 5° ≤ 2θ ≤ 70°, in order of rising 2θ)
2θ (°)  I_rel
26.6  22
29.0  17
29.8  37
31.5  14
32.0  100
35.4  32
50.5  18
51.4  29
58.8  14
61.9  15

Structural model:
Cell: 6.154 6.154 13.410 Å, 90.00 90.00 120.00°
Positions (direct):
Ac (0.333, 0.667, 0.000)
Ac (0.667, 0.333, 0.000)
Dy (0.000, 0.000, 0.396)
Dy (0.000, 0.000, 0.604)
Dy (0.333, 0.667, 0.500)
Dy (0.667, 0.333, 0.500)
Ho (0.000, 0.000, 0.000)
Ho (0.000, 0.353, 0.780)
Ho (0.000, 0.647, 0.220)
Ho (0.353, 0.000, 0.780)
Ho (0.353, 0.353, 0.220)
Ho (0.647, 0.000, 0.220)
Ho (0.647, 0.647, 0.780)

---

No. 8
Simulated powder diffractogram
Compound: AcDy12Ho2
Radiation: Cu Kα X-rays
Structure: a cell relaxed with PBE
Neutral-atom scattering factors, no anomalous dispersion.

Peak list (10 most intense, 5° ≤ 2θ ≤ 70°, in order of rising 2θ)
2θ (°)  I_rel
30.1  57
30.2  100
31.0  63
32.0  97
32.1  62
32.3  87
33.5  38
46.0  46
55.9  30
61.5  30

Structural model:
Cell: 6.642 6.642 24.427 Å, 92.26 92.26 114.68°
Positions (direct):
Ac (0.250, 0.250, 0.000)
Ac (0.750, 0.750, 0.000)
Dy (0.050, 0.551, 0.205)
Dy (0.083, 0.584, 0.332)
Dy (0.136, 0.639, 0.555)
Dy (0.144, 0.144, 0.573)
Dy (0.215, 0.215, 0.857)
Dy (0.231, 0.731, 0.921)
Dy (0.269, 0.769, 0.079)
Dy (0.285, 0.285, 0.143)
Dy (0.359, 0.359, 0.426)
Dy (0.361, 0.864, 0.445)
Dy (0.416, 0.917, 0.668)
Dy (0.449, 0.950, 0.795)
Dy (0.551, 0.050, 0.205)
Dy (0.584, 0.083, 0.332)
Dy (0.639, 0.136, 0.555)
Dy (0.641, 0.641, 0.574)
Dy (0.715, 0.715, 0.857)
Dy (0.731, 0.231, 0.921)
Dy (0.769, 0.269, 0.079)
Dy (0.785, 0.785, 0.143)
Dy (0.856, 0.856, 0.427)
Dy (0.864, 0.361, 0.445)
Dy (0.917, 0.416, 0.668)
Dy (0.950, 0.449, 0.795)
Ho (0.069, 0.069, 0.275)
Ho (0.432, 0.432, 0.725)
Ho (0.568, 0.568, 0.275)
Ho (0.931, 0.931, 0.725)

---

No. 9
Simulated powder diffractogram
Compound: AcDy8Ho2
Radiation: Cu Kα X-rays
Structure: a cell relaxed with PBE
Neutral-atom scattering factors, no anomalous dispersion.

Peak list (10 most intense, 5° ≤ 2θ ≤ 70°, in order of rising 2θ)
2θ (°)  I_rel
31.4  100
31.5  43
31.7  23
31.9  27
32.7  26
33.0  22
52.2  12
58.2  11
58.5  12
62.1  12

Structural model:
Cell: 10.313 10.313 5.489 Å, 93.01 93.01 39.76°
Positions (direct):
Ac (0.000, 0.000, 0.000)
Dy (0.133, 0.594, 0.270)
Dy (0.191, 0.191, 0.234)
Dy (0.406, 0.867, 0.730)
Dy (0.453, 0.453, 0.760)
Dy (0.547, 0.547, 0.240)
Dy (0.594, 0.133, 0.270)
Dy (0.809, 0.809, 0.766)
Dy (0.867, 0.406, 0.730)
Ho (0.285, 0.285, 0.753)
Ho (0.715, 0.715, 0.247)

---

No. 10
Simulated powder diffractogram
Compound: Ac2Dy12Ho5
Radiation: Cu Kα X-rays
Structure: a cell relaxed with PBE
Neutral-atom scattering factors, no anomalous dispersion.

Peak list (10 most intense, 5° ≤ 2θ ≤ 70°, in order of rising 2θ)
2θ (°)  I_rel
30.5  33
31.3  100
31.6  78
32.0  75
32.5  59
32.8  51
33.2  43
33.3  52
56.5  26
61.5  31

Structural model:
Cell: 6.768 7.118 13.939 Å, 102.28 95.78 103.67°
Positions (direct):
Ac (0.225, 0.407, 0.484)
Ac (0.775, 0.593, 0.516)
Dy (0.070, 0.003, 0.710)
Dy (0.094, 0.521, 0.737)
Dy (0.169, 0.212, 0.111)
Dy (0.349, 0.953, 0.906)
Dy (0.455, 0.646, 0.282)
Dy (0.470, 0.145, 0.308)
Dy (0.530, 0.855, 0.692)
Dy (0.545, 0.354, 0.718)
Dy (0.651, 0.047, 0.094)
Dy (0.831, 0.788, 0.889)
Dy (0.906, 0.479, 0.263)
Dy (0.930, 0.997, 0.290)
Ho (0.114, 0.720, 0.092)
Ho (0.240, 0.913, 0.479)
Ho (0.500, 0.500, 0.000)
Ho (0.760, 0.087, 0.521)
Ho (0.886, 0.280, 0.908)

---

No. 11
Simulated powder diffractogram
Compound: AcDyHo4
Radiation: Cu Kα X-rays
Structure: a cell relaxed with PBE
Neutral-atom scattering factors, no anomalous dispersion.

Peak list (10 most intense, 5° ≤ 2θ ≤ 70°, in order of rising 2θ)
2θ (°)  I_rel
30.4  49
30.6  48
31.2  100
31.8  51
32.3  48
45.8  18
46.1  18
56.4  19
61.2  15
61.5  22

Structural model:
Cell: 8.530 8.530 6.676 Å, 109.73 109.73 102.52°
Positions (direct):
Ac (0.074, 0.926, 0.750)
Ac (0.926, 0.074, 0.250)
Dy (0.191, 0.809, 0.250)
Dy (0.809, 0.191, 0.750)
Ho (0.151, 0.519, 0.755)
Ho (0.262, 0.419, 0.255)
Ho (0.419, 0.262, 0.755)
Ho (0.481, 0.849, 0.745)
Ho (0.519, 0.151, 0.255)
Ho (0.581, 0.738, 0.245)
Ho (0.738, 0.581, 0.745)
Ho (0.849, 0.481, 0.245)

---

No. 12
Simulated powder diffractogram
Compound: Ac2Dy6Ho3
Radiation: Cu Kα X-rays
Structure: a cell relaxed with PBE
Neutral-atom scattering factors, no anomalous dispersion.

Peak list (10 most intense, 5° ≤ 2θ ≤ 70°, in order of rising 2θ)
2θ (°)  I_rel
30.3  34
30.6  100
35.4  67
50.7  24
51.2  24
60.2  9
60.3  5
60.7  28
60.9  14
63.8  12

Structural model:
Cell: 6.181 6.181 11.985 Å, 94.95 94.95 120.02°
Positions (direct):
Ac (0.167, 0.833, 0.000)
Ac (0.833, 0.167, 0.000)
Dy (0.080, 0.413, 0.739)
Dy (0.254, 0.254, 0.261)
Dy (0.413, 0.080, 0.739)
Dy (0.587, 0.920, 0.261)
Dy (0.746, 0.746, 0.739)
Dy (0.920, 0.587, 0.261)
Ho (0.000, 0.000, 0.500)
Ho (0.335, 0.665, 0.500)
Ho (0.665, 0.335, 0.500)